# 1
For Sr2Ti6N2O11, the PBE geometry in the Materials Project gives the theoretical X-ray powder pattern in this record (Cu Kα).
Kinematic intensities with the Lorentz-polarization factor, no thermal factor.

Top 10 peaks for 10 to 80 degrees two-theta, in order of falling intensity:
2θ 30.11, I = 100, hkl 3 1 -1
2θ 29.29, I = 95, hkl 3 1 0
2θ 47.43, I = 81, hkl 0 2 0
2θ 43.12, I = 71, hkl 4 0 -4
2θ 31.65, I = 63, hkl 3 1 1
2θ 31.41, I = 62, hkl 1 1 2
2θ 66.05, I = 58, hkl 4 2 -4
2θ 43.24, I = 57, hkl 6 0 2
2θ 29.86, I = 51, hkl 2 0 -3
2θ 19.24, I = 48, hkl 0 0 2

a = 15.229 Å, b = 3.834 Å, c = 9.311 Å
α = 90.00°, β = 97.75°, γ = 90.00°
Space group Cm (No. 8)
Asymmetric unit:
Sr  0.000  0.000  0.000 x2
Sr  0.097  0.000  0.550 x2
Ti  0.163  0.500  0.869 x2
Ti  0.209  0.500  0.223 x2
Ti  0.292  0.500  0.557 x2
Ti  0.311  0.000  0.015 x2
Ti  0.379  0.000  0.343 x2
Ti  0.432  0.000  0.689 x2
N  0.048  0.500  0.781 x2
N  0.403  0.500  0.671 x2
O  0.115  0.500  0.077 x2
O  0.164  0.500  0.391 x2
O  0.189  0.000  0.901 x2
O  0.209  0.500  0.686 x2
O  0.247  0.000  0.211 x2
O  0.290  0.500  0.029 x2
O  0.300  0.000  0.525 x2
O  0.344  0.500  0.352 x2
O  0.386  0.000  0.881 x2
O  0.419  0.000  0.166 x2
O  0.477  0.000  0.481 x2

# 2
For HfMg6BO7, the PBE geometry in the Materials Project gives the theoretical X-ray powder pattern in this record (Cu Kα).
Kinematic intensities with the Lorentz-polarization factor, no thermal factor.

Top 10 peaks for 10 to 80 degrees two-theta, in order of falling intensity:
2θ 23.41, I = 100, hkl 1 0 1
2θ 27.69, I = 75, hkl 1 0 2
2θ 35.52, I = 61, hkl 1 1 2
2θ 44.46, I = 57, hkl 2 0 0
2θ 21.81, I = 40, hkl 1 0 0
2θ 57.18, I = 40, hkl 2 0 4
2θ 34.08, I = 39, hkl 0 0 4
2θ 33.71, I = 36, hkl 1 0 3
2θ 61.93, I = 36, hkl 1 1 6
2θ 16.85, I = 32, hkl 0 0 2

a = 4.075 Å, b = 4.075 Å, c = 10.524 Å
α = 90.00°, β = 90.00°, γ = 90.00°
Space group P4mm (No. 99)
Asymmetric unit:
Hf  0.000  0.000  0.000 x1
Mg  0.000  0.000  0.523 x1
Mg  0.000  0.500  0.280 x2
Mg  0.000  0.500  0.751 x2
Mg  0.500  0.500  0.509 x1
B  0.500  0.500  0.151 x1
O  0.000  0.000  0.716 x1
O  0.000  0.500  0.473 x2
O  0.000  0.500  0.941 x2
O  0.500  0.500  0.290 x1
O  0.500  0.500  0.699 x1

# 3
For Rb3Sm, the PBE geometry in the Materials Project gives the theoretical X-ray powder pattern in this record (Cu Kα).
Kinematic intensities with the Lorentz-polarization factor, no thermal factor.

Top 10 peaks for 10 to 80 degrees two-theta, in order of falling intensity:
2θ 24.54, I = 100, hkl 2 2 0
2θ 43.20, I = 43, hkl 4 2 2
2θ 68.44, I = 22, hkl 6 4 2
2θ 34.99, I = 20, hkl 4 0 0
2θ 56.75, I = 19, hkl 6 2 0
2θ 50.31, I = 14, hkl 4 4 0
2θ 79.23, I = 11, hkl 8 2 2
2θ 14.96, I = 5, hkl 1 1 1
2θ 62.75, I = 5, hkl 4 4 4
2θ 28.86, I = 3, hkl 3 1 1

a = 10.259 Å, b = 10.259 Å, c = 10.259 Å
α = 90.00°, β = 90.00°, γ = 90.00°
Space group Fm-3m (No. 225)
Asymmetric unit:
Rb  0.000  0.000  0.000 x4
Rb  0.250  0.250  0.250 x8
Sm  0.000  0.000  0.500 x4